Record 1
# La12Re5C15
Simulated X-ray powder pattern, Cu Kα (λ = 1.5418 Å). Input: a cell relaxed with PBE.
No peak broadening, texture or thermal motion is included.

Structural model:
```
La12Re5C15
1.0
11.2249 0.0000 0.0000
-5.6125 9.7211 0.0000
0.0000 0.0000 5.4648
La Re C
12 5 15
direct
0.0000 0.4200 0.0000
0.0000 0.7947 0.0000
0.1867 0.7293 0.5000
0.2053 0.2053 0.0000
0.2707 0.4574 0.5000
0.4200 0.0000 0.0000
0.4574 0.2707 0.5000
0.5426 0.8133 0.5000
0.5800 0.5800 0.0000
0.7293 0.1867 0.5000
0.7947 0.0000 0.0000
0.8133 0.5426 0.5000
0.0000 0.1527 0.5000
0.1527 0.0000 0.5000
0.3333 0.6667 0.0000
0.6667 0.3333 0.0000
0.8473 0.8473 0.5000
0.0000 0.3253 0.5000
0.0000 0.4465 0.5000
0.0000 0.7973 0.5000
0.1895 0.7111 0.0000
0.2027 0.2027 0.5000
0.2889 0.4784 0.0000
0.3253 0.0000 0.5000
0.4465 0.0000 0.5000
0.4784 0.2889 0.0000
0.5216 0.8105 0.0000
0.5535 0.5535 0.5000
0.6747 0.6747 0.5000
0.7111 0.1895 0.0000
0.7973 0.0000 0.5000
0.8105 0.5216 0.0000
```

Largest 10 diffraction maxima, in order of rising 2θ, 5° ≤ 2θ ≤ 70°:
Position (°2θ)	I_rel
15.8	9
18.6	12
29.3	100
32.1	27
32.8	42
33.2	44
36.0	18
47.4	32
56.4	16
65.2	10



Record 2
# La2Re2Si2C
Simulated X-ray powder pattern, Cu Kα (λ = 1.5418 Å). Input: a cell relaxed with PBE.
No peak broadening, texture or thermal motion is included.

Structural model:
```
La2Re2Si2C
1.0
11.3587 0.0000 0.0000
0.0000 4.1374 0.0000
-4.5387 0.0000 5.7504
La Re Si C
4 4 4 2
direct
0.0694 0.0000 0.3032
0.4306 0.5000 0.6968
0.5694 0.5000 0.3032
0.9306 0.0000 0.6968
0.2012 0.5000 0.0863
0.2988 0.0000 0.9137
0.7012 0.0000 0.0863
0.7988 0.5000 0.9137
0.1574 0.5000 0.7125
0.3426 0.0000 0.2875
0.6574 0.0000 0.7125
0.8426 0.5000 0.2875
0.0000 0.5000 0.0000
0.5000 0.0000 0.0000
```

Largest 10 diffraction maxima, in order of rising 2θ, 5° ≤ 2θ ≤ 70°:
Position (°2θ)	I_rel
15.4	26
24.7	15
32.2	100
34.0	63
37.3	21
38.6	19
43.8	20
55.3	17
56.2	15
59.6	13



Record 3
# LaRhC2
Simulated X-ray powder pattern, Cu Kα (λ = 1.5418 Å). Input: a cell relaxed with PBE.
No peak broadening, texture or thermal motion is included.

Structural model:
```
LaRhC2
1.0
3.9913 0.0000 0.0000
0.0000 3.9913 0.0000
0.0000 0.0000 15.4194
La Rh C
4 4 8
direct
0.1484 0.1490 0.0000
0.1490 0.8516 0.7500
0.8510 0.1484 0.2500
0.8516 0.8510 0.5000
0.3409 0.3528 0.5937
0.3528 0.6591 0.3437
0.6472 0.3409 0.8437
0.6591 0.6472 0.0937
0.1535 0.6538 0.1377
0.3343 0.3506 0.4592
0.3462 0.1535 0.3877
0.3506 0.6657 0.2092
0.6494 0.3343 0.7092
0.6538 0.8465 0.8877
0.6657 0.6494 0.9592
0.8465 0.3462 0.6377
```

Largest 10 diffraction maxima, in order of rising 2θ, 5° ≤ 2θ ≤ 70°:
Position (°2θ)	I_rel
23.1	24
28.3	51
32.3	100
33.8	57
36.8	50
45.8	37
47.1	19
52.6	20
63.5	39
67.5	23



Record 4
# La3TlC
Simulated X-ray powder pattern, Cu Kα (λ = 1.5418 Å). Input: a cell relaxed with PBE.
No peak broadening, texture or thermal motion is included.

Structural model:
```
La3TlC
1.0
5.2490 0.0000 0.0000
0.0000 5.2490 0.0000
0.0000 0.0000 5.2490
La Tl C
3 1 1
direct
0.0000 0.0000 0.5000
0.0000 0.5000 0.0000
0.5000 0.0000 0.0000
0.5000 0.5000 0.5000
0.0000 0.0000 0.0000
```

Largest 10 diffraction maxima, in order of rising 2θ, 5° ≤ 2θ ≤ 70°:
Position (°2θ)	I_rel
16.9	2
24.0	4
29.5	100
34.2	55
38.3	1
42.2	2
49.1	39
58.3	44
61.2	14
66.7	1



Record 5
# LaYC3
Simulated X-ray powder pattern, Cu Kα (λ = 1.5418 Å). Input: a cell relaxed with PBE.
No peak broadening, texture or thermal motion is included.

Structural model:
```
LaYC3
1.0
-4.2730 4.2730 4.2730
4.2730 -4.2730 4.2730
4.2730 4.2730 -4.2730
La Y C
4 4 12
direct
0.0000 0.6071 0.5000
0.5000 0.0000 0.6071
0.6071 0.5000 0.0000
0.8929 0.8929 0.8929
0.0000 0.1008 0.5000
0.1008 0.5000 0.0000
0.3992 0.3992 0.3992
0.5000 0.0000 0.1008
0.0545 0.8045 0.2500
0.2108 0.9608 0.2500
0.2500 0.0545 0.8045
0.2500 0.2108 0.9608
0.2892 0.5392 0.7500
0.4455 0.6955 0.7500
0.5392 0.7500 0.2892
0.6955 0.7500 0.4455
0.7500 0.2892 0.5392
0.7500 0.4455 0.6955
0.8045 0.2500 0.0545
0.9608 0.2500 0.2108
```

Largest 10 diffraction maxima, in order of rising 2θ, 5° ≤ 2θ ≤ 70°:
Position (°2θ)	I_rel
20.8	6
25.5	41
29.6	83
33.1	100
39.5	57
50.1	25
52.5	15
54.8	63
59.2	25
67.6	11



Record 6
# La2YC6
Simulated X-ray powder pattern, Cu Kα (λ = 1.5418 Å). Input: a cell relaxed with PBE.
No peak broadening, texture or thermal motion is included.

Structural model:
```
La2YC6
1.0
3.7682 -1.9147 0.0000
3.7682 1.9147 0.0000
-1.4818 0.0000 10.0021
La Y C
2 1 6
direct
0.1654 0.1654 0.1704
0.8346 0.8346 0.8296
0.5000 0.5000 0.5000
0.0996 0.0996 0.6831
0.2363 0.2363 0.6189
0.4336 0.4336 0.0346
0.5664 0.5664 0.9654
0.7637 0.7637 0.3811
0.9004 0.9004 0.3169
```

Largest 10 diffraction maxima, in order of rising 2θ, 5° ≤ 2θ ≤ 70°:
Position (°2θ)	I_rel
26.7	88
27.1	85
27.7	63
32.8	100
43.4	72
46.6	17
48.4	26
48.6	26
54.7	26
55.3	25